Starting from a GGA-PBE-relaxed structure, the XRD peak list of Tb4Nd2N was calculated for copper Kα.
Peak positions follow from Bragg's law for the DFT cell and can differ from measured ones.

Most intense lines, 2θ = 10–80°, low angle first:
2θ 26.08, d 3.417, rel. 16
2θ 27.96, d 3.191, rel. 71
2θ 30.00, d 2.979, rel. 29
2θ 31.12, d 2.874, rel. 28
2θ 33.00, d 2.714, rel. 100
2θ 37.22, d 2.416, rel. 61
2θ 48.52, d 1.876, rel. 31
2θ 49.27, d 1.849, rel. 16
2θ 53.65, d 1.708, rel. 21
2θ 64.44, d 1.446, rel. 29

```
Tb4Nd2N
1.0
4.8321 0.0000 0.0000
0.0000 4.8321 0.0000
0.0000 0.0000 17.8720
Tb Nd N
8 4 2
direct
0.0000 0.0000 0.1311 Tb
0.0000 0.0000 0.8689 Tb
0.0000 0.5000 0.0000 Tb
0.0000 0.5000 0.5000 Tb
0.5000 0.0000 0.0000 Tb
0.5000 0.0000 0.5000 Tb
0.5000 0.5000 0.3689 Tb
0.5000 0.5000 0.6311 Tb
0.0000 0.0000 0.3275 Nd
0.0000 0.0000 0.6725 Nd
0.5000 0.5000 0.1725 Nd
0.5000 0.5000 0.8275 Nd
0.0000 0.0000 0.0000 N
0.5000 0.5000 0.5000 N
```


Starting from a GGA-PBE-relaxed structure, the XRD peak list of B2H6Pd was calculated for copper Kα.
Peak positions follow from Bragg's law for the DFT cell and can differ from measured ones.

Most intense lines, 2θ = 10–80°, low angle first:
2θ 12.82, d 6.908, rel. 100
2θ 15.88, d 5.582, rel. 11
2θ 24.21, d 3.676, rel. 14
2θ 25.79, d 3.454, rel. 14
2θ 29.07, d 3.071, rel. 31
2θ 29.42, d 3.036, rel. 31
2θ 32.07, d 2.791, rel. 11
2θ 34.19, d 2.622, rel. 13
2θ 35.09, d 2.557, rel. 13
2θ 43.07, d 2.100, rel. 8

```
B2H6Pd
1.0
6.9111 -3.0512 0.0000
6.9111 3.0512 0.0000
-0.1152 0.0000 3.6476
B H Pd
4 12 2
direct
0.0245 0.2514 0.2418 B
0.2514 0.0245 0.7418 B
0.7486 0.9755 0.2582 B
0.9755 0.7486 0.7582 B
0.0680 0.1101 0.5081 H
0.1101 0.0680 0.0081 H
0.1126 0.3350 0.2592 H
0.2017 0.5555 0.8198 H
0.3350 0.1126 0.7592 H
0.4445 0.7983 0.6802 H
0.5555 0.2017 0.3198 H
0.6650 0.8874 0.2408 H
0.7983 0.4445 0.1802 H
0.8874 0.6650 0.7408 H
0.8899 0.9320 0.9919 H
0.9320 0.8899 0.4919 H
0.3168 0.6832 0.7500 Pd
0.6832 0.3168 0.2500 Pd
```


Starting from a GGA-PBE-relaxed structure, the XRD peak list of PmCu6Ni4 was calculated for copper Kα.
Peak positions follow from Bragg's law for the DFT cell and can differ from measured ones.

Most intense lines, 2θ = 10–80°, low angle first:
2θ 20.42, d 4.349, rel. 33
2θ 34.24, d 2.619, rel. 38
2θ 34.44, d 2.604, rel. 62
2θ 35.95, d 2.498, rel. 100
2θ 41.87, d 2.158, rel. 57
2θ 45.65, d 1.987, rel. 37
2θ 45.81, d 1.981, rel. 56
2θ 46.78, d 1.942, rel. 40
2θ 47.04, d 1.932, rel. 27
2θ 51.61, d 1.771, rel. 34

```
PmCu6Ni4
1.0
-3.0515 3.0515 4.3488
3.0515 -3.0515 4.3488
3.0515 3.0515 -4.3488
Pm Cu Ni
1 6 4
direct
0.0000 0.0000 0.0000 Pm
0.0000 0.5000 0.5000 Cu
0.2552 0.2552 0.7000 Cu
0.4448 0.7448 0.0000 Cu
0.5000 0.0000 0.5000 Cu
0.5552 0.5552 0.3000 Cu
0.7448 0.4448 0.0000 Cu
0.1036 0.5397 0.0000 Ni
0.4603 0.4603 0.5640 Ni
0.5397 0.1036 0.0000 Ni
0.8964 0.8964 0.4360 Ni
```


Starting from a GGA-PBE-relaxed structure, the XRD peak list of CeZrRu4 was calculated for copper Kα.
Peak positions follow from Bragg's law for the DFT cell and can differ from measured ones.

Most intense lines, 2θ = 10–80°, low angle first:
2θ 20.52, d 4.327, rel. 4
2θ 23.74, d 3.748, rel. 2
2θ 33.83, d 2.650, rel. 31
2θ 39.89, d 2.260, rel. 100
2θ 41.75, d 2.164, rel. 36
2θ 48.59, d 1.874, rel. 3
2θ 53.27, d 1.720, rel. 1
2θ 60.51, d 1.530, rel. 11
2θ 64.61, d 1.442, rel. 31
2θ 71.16, d 1.325, rel. 26

```
CeZrRu4
1.0
0.0000 3.7476 3.7476
3.7476 0.0000 3.7476
3.7476 3.7476 0.0000
Ce Zr Ru
1 1 4
direct
0.0000 0.0000 0.0000 Ce
0.7500 0.7500 0.7500 Zr
0.3754 0.3754 0.3754 Ru
0.3754 0.3754 0.8739 Ru
0.3754 0.8739 0.3754 Ru
0.8739 0.3754 0.3754 Ru
```


Starting from a GGA-PBE-relaxed structure, the XRD peak list of CsLiIrO4 was calculated for copper Kα.
Peak positions follow from Bragg's law for the DFT cell and can differ from measured ones.

Most intense lines, 2θ = 10–80°, low angle first:
2θ 18.11, d 4.898, rel. 100
2θ 28.80, d 3.100, rel. 27
2θ 30.27, d 2.953, rel. 53
2θ 34.23, d 2.620, rel. 34
2θ 36.73, d 2.447, rel. 19
2θ 45.35, d 2.000, rel. 12
2θ 47.33, d 1.921, rel. 14
2θ 51.95, d 1.760, rel. 24
2θ 54.63, d 1.680, rel. 21
2θ 62.92, d 1.477, rel. 14

```
CsLiIrO4
1.0
6.2007 0.0000 0.0000
0.0000 6.2007 0.0000
0.0000 0.0000 7.9881
Cs Li Ir O
2 2 2 8
direct
0.0000 0.0000 0.0000 Cs
0.5000 0.5000 0.5000 Cs
0.0000 0.0000 0.5000 Li
0.5000 0.5000 0.0000 Li
0.0000 0.5000 0.2500 Ir
0.5000 0.0000 0.7500 Ir
0.0866 0.7561 0.3414 O
0.2439 0.0866 0.6586 O
0.2561 0.4134 0.1586 O
0.4134 0.7439 0.8414 O
0.5866 0.2561 0.8414 O
0.7439 0.5866 0.1586 O
0.7561 0.9134 0.6586 O
0.9134 0.2439 0.3414 O
```


Starting from a GGA-PBE-relaxed structure, the XRD peak list of Be6Os was calculated for copper Kα.
Peak positions follow from Bragg's law for the DFT cell and can differ from measured ones.

Most intense lines, 2θ = 10–80°, low angle first:
2θ 21.62, d 4.111, rel. 19
2θ 23.65, d 3.761, rel. 16
2θ 25.25, d 3.527, rel. 47
2θ 25.94, d 3.435, rel. 34
2θ 27.03, d 3.299, rel. 100
2θ 39.17, d 2.300, rel. 25
2θ 46.10, d 1.969, rel. 17
2θ 46.43, d 1.956, rel. 29
2θ 47.58, d 1.911, rel. 32
2θ 50.30, d 1.814, rel. 16

```
Be6Os
1.0
6.8694 0.0000 0.0000
0.0000 4.2298 0.0000
0.0000 0.0000 8.2213
Be Os
24 4
direct
0.0484 0.2500 0.0850 Be
0.0603 0.5050 0.3069 Be
0.0603 0.9950 0.3069 Be
0.0987 0.7500 0.5199 Be
0.1517 0.2500 0.8544 Be
0.1966 0.7500 0.7537 Be
0.3034 0.2500 0.2537 Be
0.3483 0.7500 0.3544 Be
0.4013 0.2500 0.0199 Be
0.4397 0.0050 0.8069 Be
0.4397 0.4950 0.8069 Be
0.4516 0.7500 0.5850 Be
0.5484 0.2500 0.4150 Be
0.5603 0.5050 0.1931 Be
0.5603 0.9950 0.1931 Be
0.5987 0.7500 0.9801 Be
0.6517 0.2500 0.6456 Be
0.6966 0.7500 0.7463 Be
0.8034 0.2500 0.2463 Be
0.8483 0.7500 0.1456 Be
0.9013 0.2500 0.4801 Be
0.9397 0.0050 0.6931 Be
0.9397 0.4950 0.6931 Be
0.9516 0.7500 0.9150 Be
0.2422 0.2500 0.5723 Os
0.2578 0.7500 0.0723 Os
0.7422 0.2500 0.9277 Os
0.7578 0.7500 0.4277 Os
```


Starting from a GGA-PBE-relaxed structure, the XRD peak list of Sm5GePd2 was calculated for copper Kα.
Peak positions follow from Bragg's law for the DFT cell and can differ from measured ones.

Most intense lines, 2θ = 10–80°, low angle first:
2θ 31.13, d 2.873, rel. 12
2θ 32.31, d 2.770, rel. 100
2θ 35.13, d 2.555, rel. 22
2θ 35.96, d 2.497, rel. 48
2θ 40.39, d 2.233, rel. 10
2θ 51.94, d 1.760, rel. 12
2θ 55.17, d 1.665, rel. 11
2θ 56.56, d 1.627, rel. 11
2θ 67.18, d 1.393, rel. 15
2θ 67.31, d 1.391, rel. 9

```
Sm5GePd2
1.0
-3.9489 3.9489 6.6998
3.9489 -3.9489 6.6998
3.9489 3.9489 -6.6998
Sm Ge Pd
10 2 4
direct
0.0000 0.0000 0.0000 Sm
0.0154 0.5154 0.8222 Sm
0.1933 0.0154 0.5000 Sm
0.3067 0.8067 0.8222 Sm
0.4846 0.3067 0.5000 Sm
0.5000 0.5000 0.0000 Sm
0.5154 0.6933 0.5000 Sm
0.6933 0.1933 0.1778 Sm
0.8067 0.9846 0.5000 Sm
0.9846 0.4846 0.1778 Sm
0.2500 0.2500 0.0000 Ge
0.7500 0.7500 0.0000 Ge
0.1317 0.3683 0.5000 Pd
0.3683 0.8683 0.2366 Pd
0.6317 0.1317 0.7634 Pd
0.8683 0.6317 0.5000 Pd
```


Starting from a GGA-PBE-relaxed structure, the XRD peak list of Na2SrRu2O7 was calculated for copper Kα.
Peak positions follow from Bragg's law for the DFT cell and can differ from measured ones.

Most intense lines, 2θ = 10–80°, low angle first:
2θ 23.14, d 3.843, rel. 42
2θ 25.98, d 3.429, rel. 78
2θ 26.48, d 3.365, rel. 82
2θ 31.79, d 2.815, rel. 100
2θ 31.89, d 2.806, rel. 81
2θ 32.21, d 2.779, rel. 81
2θ 33.20, d 2.699, rel. 69
2θ 45.11, d 2.010, rel. 59
2θ 46.34, d 1.959, rel. 54
2θ 57.10, d 1.613, rel. 59

```
Na2SrRu2O7
1.0
-1.9591 2.0100 9.8574
1.9591 -2.0100 9.8574
1.9591 2.0100 -9.8574
Na Sr Ru O
2 1 2 7
direct
0.2432 0.2432 0.0000 Na
0.7568 0.7568 0.0000 Na
0.0000 0.5000 0.5000 Sr
0.3965 0.8965 0.5000 Ru
0.6035 0.1035 0.5000 Ru
0.0935 0.0935 0.0000 O
0.3011 0.8011 0.5000 O
0.4032 0.4032 0.0000 O
0.5000 0.0000 0.5000 O
0.5968 0.5968 0.0000 O
0.6989 0.1989 0.5000 O
0.9065 0.9065 0.0000 O
```


Starting from a GGA-PBE-relaxed structure, the XRD peak list of Ta2AlCuP was calculated for copper Kα.
Peak positions follow from Bragg's law for the DFT cell and can differ from measured ones.

Most intense lines, 2θ = 10–80°, low angle first:
2θ 21.73, d 4.089, rel. 34
2θ 26.19, d 3.402, rel. 28
2θ 34.29, d 2.615, rel. 100
2θ 37.38, d 2.406, rel. 50
2θ 43.65, d 2.074, rel. 23
2θ 44.30, d 2.045, rel. 15
2θ 53.89, d 1.701, rel. 17
2θ 59.32, d 1.558, rel. 26
2θ 65.45, d 1.426, rel. 30
2θ 72.25, d 1.308, rel. 14

```
Ta2AlCuP
1.0
4.8116 0.0000 0.0000
0.0000 4.8116 0.0000
0.0000 0.0000 4.0892
Ta Al Cu P
2 1 1 1
direct
0.0000 0.5000 0.0000 Ta
0.5000 0.0000 0.0000 Ta
0.0000 0.0000 0.0000 Al
0.0000 0.0000 0.5000 Cu
0.5000 0.5000 0.5000 P
```


Starting from a GGA-PBE-relaxed structure, the XRD peak list of ErSiIr3 was calculated for copper Kα.
Peak positions follow from Bragg's law for the DFT cell and can differ from measured ones.

Most intense lines, 2θ = 10–80°, low angle first:
2θ 21.10, d 4.210, rel. 59
2θ 29.35, d 3.043, rel. 34
2θ 31.99, d 2.798, rel. 53
2θ 36.00, d 2.495, rel. 36
2θ 36.70, d 2.448, rel. 49
2θ 37.59, d 2.393, rel. 64
2θ 39.41, d 2.286, rel. 56
2θ 40.98, d 2.202, rel. 100
2θ 43.60, d 2.076, rel. 58
2θ 72.98, d 1.296, rel. 31

```
ErSiIr3
1.0
-2.7230 3.7439 4.2099
2.7230 -3.7439 4.2099
2.7230 3.7439 -4.2099
Er Si Ir
2 2 6
direct
0.2591 0.0091 0.2500 Er
0.7409 0.9909 0.7500 Er
0.0000 0.5000 0.5000 Si
0.5000 0.5000 0.0000 Si
0.0726 0.3226 0.7500 Ir
0.2975 0.0000 0.7975 Ir
0.2975 0.5000 0.2975 Ir
0.7025 0.0000 0.2025 Ir
0.7025 0.5000 0.7025 Ir
0.9274 0.6774 0.2500 Ir
```


Starting from a GGA-PBE-relaxed structure, the XRD peak list of Rb3Mo2Cl8 was calculated for copper Kα.
Peak positions follow from Bragg's law for the DFT cell and can differ from measured ones.

Most intense lines, 2θ = 10–80°, low angle first:
2θ 10.83, d 8.172, rel. 45
2θ 13.09, d 6.765, rel. 54
2θ 14.17, d 6.251, rel. 83
2θ 14.65, d 6.047, rel. 42
2θ 20.94, d 4.243, rel. 39
2θ 22.46, d 3.959, rel. 48
2θ 23.38, d 3.805, rel. 100
2θ 30.37, d 2.943, rel. 59
2θ 31.12, d 2.874, rel. 90
2θ 40.00, d 2.254, rel. 61

```
Rb3Mo2Cl8
1.0
16.3444 0.0000 0.0000
0.0000 6.5092 3.9591
0.0000 -6.5092 3.9591
Rb Mo Cl
6 4 16
direct
0.0722 0.1659 0.8341 Rb
0.2500 0.4883 0.5128 Rb
0.4278 0.1659 0.8341 Rb
0.5722 0.8341 0.1659 Rb
0.7500 0.5128 0.4883 Rb
0.9278 0.8341 0.1659 Rb
0.1822 0.8687 0.1854 Mo
0.3178 0.8687 0.1854 Mo
0.6822 0.1854 0.8687 Mo
0.8178 0.1854 0.8687 Mo
0.0861 0.1530 0.3733 Cl
0.1153 0.7260 0.8687 Cl
0.1246 0.6127 0.2417 Cl
0.2500 0.1074 0.0729 Cl
0.2500 0.9908 0.5275 Cl
0.3754 0.6127 0.2417 Cl
0.3847 0.7260 0.8687 Cl
0.4139 0.1530 0.3733 Cl
0.5861 0.3733 0.1530 Cl
0.6153 0.8687 0.7260 Cl
0.6246 0.2417 0.6127 Cl
0.7500 0.0729 0.1074 Cl
0.7500 0.5275 0.9908 Cl
0.8754 0.2417 0.6127 Cl
0.8847 0.8687 0.7260 Cl
0.9139 0.3733 0.1530 Cl
```